Computed powder XRD pattern of Cs2UTe4Pd2 for Cu Kα (weighted mean of Kα1 and Kα2), from a structure optimized by DFT (PBE).
Peak positions follow from Bragg's law for the DFT cell and can differ from measured ones.

Structure:
Cell: 15.9090 4.3925 9.0745 Å, 90.00 106.97 90.00°
Space group C2/m (No. 12)
Unique sites:
Cs  0.1375  0.0000  0.0696 x4
U  0.0000  0.0000  0.5000 x2
Te  0.0133  0.5000  0.2733 x4
Te  0.1934  0.0000  0.6625 x4
Pd  0.1770  0.5000  0.4852 x4

Most intense lines, 5 to 70 degrees two-theta, most intense first:
28.27°, I = 100, (1 1 -2); 10.19°, I = 76, (0 0 1); 30.61°, I = 65, (3 1 -2); 45.34°, I = 40, (3 1 3); 37.11°, I = 38, (3 1 2); 41.10°, I = 28, (0 2 0); 26.85°, I = 25, (3 1 -1); 35.39°, I = 25, (6 0 0); 45.79°, I = 25, (7 1 -2); 26.26°, I = 16, (4 0 -2); 50.61°, I = 15, (4 2 1); 55.34°, I = 14, (6 2 0)



Computed powder XRD pattern of Cu4AsClO6 for Cu Kα (weighted mean of Kα1 and Kα2), from a structure optimized by DFT (PBE).
Peak positions follow from Bragg's law for the DFT cell and can differ from measured ones.

Structure:
Cell: 5.5351 11.3510 10.2951 Å, 90.00 90.00 90.00°
Space group Pbcm (No. 57)
Unique sites:
Cu  0.0441  0.1444  0.2500 x4
Cu  0.1478  0.0872  0.7500 x4
Cu  0.2320  0.5554  0.5425 x8
As  0.3326  0.2500  0.0000 x4
Cl  0.3805  0.5938  0.7500 x4
O  0.0428  0.5283  0.1190 x8
O  0.1332  0.2254  0.6293 x8
O  0.4939  0.1264  0.0410 x8

Most intense lines, 5 to 70 degrees two-theta, most intense first:
33.56°, I = 100, (1 3 2); 28.58°, I = 54, (1 3 0); 23.60°, I = 53, (1 0 2); 37.75°, I = 44, (2 1 2); 17.83°, I = 43, (1 1 0); 36.14°, I = 40, (0 4 2); 34.86°, I = 38, (0 0 4); 31.67°, I = 27, (1 1 3); 36.87°, I = 25, (2 0 2); 16.01°, I = 23, (1 0 0); 54.38°, I = 22, (2 3 4); 37.18°, I = 22, (2 2 1)



Computed powder XRD pattern of Ce2Ga5Ag for Cu Kα (weighted mean of Kα1 and Kα2), from a structure optimized by DFT (PBE).
Peak positions follow from Bragg's law for the DFT cell and can differ from measured ones.

Structure:
Cell: 6.1882 6.1882 8.7839 Å, 90.00 90.00 90.00°
Space group I4mm (No. 107)
Unique sites:
Ce  0.0000  0.5000  0.0000 x4
Ga  0.0000  0.0000  0.4889 x2
Ga  0.2283  0.2283  0.7511 x8
Ag  0.0000  0.0000  0.0821 x2

Most intense lines, 5 to 70 degrees two-theta, most intense first:
35.49°, I = 100, (2 0 2); 41.26°, I = 37, (2 2 0); 28.82°, I = 17, (2 0 0); 59.66°, I = 15, (2 2 4); 33.91°, I = 13, (1 0 3); 41.10°, I = 12, (0 0 4); 59.78°, I = 11, (4 0 0); 20.25°, I = 7, (0 0 2); 63.71°, I = 7, (3 1 4); 46.26°, I = 7, (1 1 4); 45.12°, I = 6, (3 0 1); 62.75°, I = 5, (3 2 3)